# 1
For SrAc6Ir3, a PBE-relaxed structure gives the simulated powder XRD pattern in this record (Cu Kα).

The 6 most intense peaks (5 to 70 degrees two-theta), by intensity:
26.12°, I = 100
6.73°, I = 99
30.67°, I = 67
39.77°, I = 60
27.39°, I = 59
26.51°, I = 53

Structural model:
```
SrAc6Ir3
1.0
13.445 0.000 0.000
0.000 4.381 0.000
-2.977 0.000 13.241
Sr Ac Ir
2 12 6
direct
0.032 0.250 0.139
0.968 0.750 0.861
0.065 0.750 0.408
0.202 0.750 0.692
0.239 0.250 0.968
0.333 0.750 0.256
0.389 0.250 0.541
0.480 0.750 0.867
0.520 0.250 0.133
0.611 0.750 0.459
0.667 0.250 0.744
0.761 0.750 0.032
0.798 0.250 0.308
0.935 0.250 0.592
0.150 0.250 0.550
0.373 0.750 0.047
0.476 0.250 0.348
0.524 0.750 0.652
0.627 0.250 0.953
0.850 0.750 0.450
```

***

# 2
For SrAc8Ir4, a PBE-relaxed structure gives the simulated powder XRD pattern in this record (Cu Kα).

The 6 most intense peaks (5 to 70 degrees two-theta), by intensity:
26.17°, I = 100
27.29°, I = 95
42.36°, I = 80
37.12°, I = 65
12.19°, I = 49
40.74°, I = 45

Structural model:
```
SrAc8Ir4
1.0
10.643 -2.215 0.000
10.643 2.215 0.000
-9.602 0.000 10.908
Sr Ac Ir
1 8 4
direct
0.000 0.000 0.000
0.042 0.042 0.735
0.291 0.291 0.932
0.333 0.333 0.652
0.364 0.364 0.407
0.636 0.636 0.593
0.667 0.667 0.348
0.709 0.709 0.068
0.958 0.958 0.265
0.145 0.145 0.464
0.336 0.336 0.176
0.664 0.664 0.824
0.855 0.855 0.536
```

***

# 3
For SrAc2TlIr, a PBE-relaxed structure gives the simulated powder XRD pattern in this record (Cu Kα).

The 6 most intense peaks (5 to 70 degrees two-theta), by intensity:
26.56°, I = 100
30.99°, I = 98
43.90°, I = 77
30.31°, I = 52
21.54°, I = 51
54.71°, I = 41

Structural model:
```
SrAc2TlIr
1.0
5.771 0.000 0.000
0.000 5.771 0.000
0.000 0.000 5.898
Sr Ac Tl Ir
1 2 1 1
direct
0.000 0.000 0.000
0.000 0.500 0.500
0.500 0.000 0.500
0.500 0.500 0.005
0.000 0.000 0.500
```

***

# 4
For SrAcZnIr, a PBE-relaxed structure gives the simulated powder XRD pattern in this record (Cu Kα).

The 6 most intense peaks (5 to 70 degrees two-theta), by intensity:
11.35°, I = 100
30.13°, I = 77
40.76°, I = 50
35.63°, I = 30
42.44°, I = 25
27.82°, I = 25

Structural model:
```
SrAcZnIr
1.0
3.834 -2.214 0.000
3.834 2.214 0.000
-2.569 0.000 7.799
Sr Ac Zn Ir
1 1 1 1
direct
0.000 0.000 0.000
0.169 0.169 0.505
0.416 0.416 0.247
0.762 0.762 0.283
```

***

# 5
For AcThIr, a PBE-relaxed structure gives the simulated powder XRD pattern in this record (Cu Kα).

The 6 most intense peaks (5 to 70 degrees two-theta), by intensity:
29.98°, I = 100
11.07°, I = 70
40.28°, I = 40
42.64°, I = 39
31.74°, I = 33
25.40°, I = 29

Structural model:
```
AcThIr
1.0
5.661 0.000 0.000
0.000 4.477 0.000
-0.720 0.000 7.990
Ac Th Ir
2 2 2
direct
0.200 0.250 0.335
0.800 0.750 0.665
0.310 0.250 0.865
0.690 0.750 0.135
0.192 0.750 0.066
0.808 0.250 0.934
```

***

# 6
For Ac3ThIr3, a PBE-relaxed structure gives the simulated powder XRD pattern in this record (Cu Kα).

The 6 most intense peaks (5 to 70 degrees two-theta), by intensity:
29.67°, I = 100
42.46°, I = 76
69.85°, I = 35
52.65°, I = 27
10.39°, I = 17
61.61°, I = 13

Structural model:
```
Ac3ThIr3
1.0
-6.022 6.022 6.022
6.022 -6.022 6.022
6.022 6.022 -6.022
Ac Th Ir
12 4 12
direct
0.007 0.014 0.757
0.007 0.493 0.250
0.014 0.757 0.007
0.250 0.007 0.493
0.250 0.743 0.757
0.486 0.493 0.743
0.493 0.250 0.007
0.493 0.743 0.486
0.743 0.486 0.493
0.743 0.757 0.250
0.757 0.007 0.014
0.757 0.250 0.743
0.000 0.250 0.500
0.250 0.250 0.250
0.250 0.500 0.000
0.500 0.000 0.250
0.004 0.008 0.254
0.004 0.496 0.750
0.008 0.254 0.004
0.246 0.254 0.750
0.246 0.492 0.496
0.254 0.004 0.008
0.254 0.750 0.246
0.492 0.496 0.246
0.496 0.246 0.492
0.496 0.750 0.004
0.750 0.004 0.496
0.750 0.246 0.254
```

***

# 7
For AcTiZnIr2, a PBE-relaxed structure gives the simulated powder XRD pattern in this record (Cu Kα).

The 6 most intense peaks (5 to 70 degrees two-theta), by intensity:
31.60°, I = 100
30.14°, I = 67
34.01°, I = 62
44.91°, I = 61
43.14°, I = 57
54.45°, I = 44

Structural model:
```
AcTiZnIr2
1.0
-2.097 2.097 5.756
2.097 -2.097 5.756
2.097 2.097 -5.756
Ac Ti Zn Ir
1 1 1 2
direct
0.000 0.000 0.000
0.250 0.750 0.500
0.750 0.250 0.500
0.384 0.384 0.000
0.616 0.616 0.000
```

***

# 8
For Ac7Tl2Ir2, a PBE-relaxed structure gives the simulated powder XRD pattern in this record (Cu Kα).

The 6 most intense peaks (5 to 70 degrees two-theta), by intensity:
31.24°, I = 100
28.45°, I = 45
27.52°, I = 27
34.12°, I = 21
53.61°, I = 20
32.45°, I = 18

Structural model:
```
Ac7Tl2Ir2
1.0
-2.039 8.610 5.621
2.039 -8.610 5.621
2.039 8.610 -5.621
Ac Tl Ir
7 2 2
direct
0.000 0.000 0.000
0.295 0.425 0.870
0.310 0.623 0.687
0.555 0.425 0.130
0.639 0.286 0.353
0.933 0.286 0.647
0.935 0.623 0.313
0.253 0.753 0.500
0.669 0.669 0.000
0.165 0.929 0.236
0.692 0.929 0.764
```

***

# 9
For Ac8TlIr2, a PBE-relaxed structure gives the simulated powder XRD pattern in this record (Cu Kα).

The 6 most intense peaks (5 to 70 degrees two-theta), by intensity:
31.46°, I = 100
28.63°, I = 87
29.77°, I = 81
30.47°, I = 70
27.26°, I = 66
32.25°, I = 43

Structural model:
```
Ac8TlIr2
1.0
4.664 -7.301 0.000
4.664 7.301 0.000
-1.433 0.000 5.999
Ac Tl Ir
8 1 2
direct
0.078 0.338 0.581
0.245 0.755 0.000
0.338 0.078 0.581
0.389 0.389 0.202
0.611 0.611 0.798
0.662 0.922 0.419
0.755 0.245 0.000
0.922 0.662 0.419
0.000 0.000 0.000
0.293 0.707 0.500
0.707 0.293 0.500
```

***

# 10
For AcUIr2, a PBE-relaxed structure gives the simulated powder XRD pattern in this record (Cu Kα).

The 6 most intense peaks (5 to 70 degrees two-theta), by intensity:
30.68°, I = 100
44.52°, I = 39
43.37°, I = 33
55.04°, I = 20
63.90°, I = 11
53.07°, I = 5

Structural model:
```
AcUIr2
1.0
2.035 1.175 6.903
-2.035 1.175 6.903
0.000 -2.350 6.903
Ac U Ir
1 1 2
direct
0.000 0.000 0.000
0.500 0.500 0.500
0.236 0.236 0.236
0.764 0.764 0.764
```